1.
BaInB2: theoretical powder diffractogram (CuKα), based on the GGA-PBE geometry in Alexandria.
Intensities are scaled so that the largest is 100.

Cell lengths 4.837, 4.837, 15.411 Å; angles 90.00, 90.00, 90.00 degrees
Atoms (fractional coordinates):
Ba  0.000  0.250  0.375
Ba  0.000  0.750  0.625
Ba  0.500  0.250  0.125
Ba  0.500  0.750  0.875
In  0.000  0.250  0.875
In  0.000  0.750  0.125
In  0.500  0.250  0.625
In  0.500  0.750  0.375
B  0.000  0.000  0.000
B  0.000  0.500  0.000
B  0.250  0.250  0.750
B  0.250  0.750  0.250
B  0.500  0.000  0.500
B  0.500  0.500  0.500
B  0.750  0.250  0.750
B  0.750  0.750  0.250

The 6 most intense peaks (5 to 70 degrees two-theta), low angle first:
- 2θ = 23.08°, I 36
- 2θ = 28.55°, I 100
- 2θ = 37.17°, I 25
- 2θ = 44.09°, I 30
- 2θ = 44.21°, I 30
- 2θ = 61.83°, I 22

2.
Nd2As6Pd21: theoretical powder diffractogram (CuKα), based on the GGA-PBE geometry in Alexandria.
Intensities are scaled so that the largest is 100.

Cell lengths 8.870, 8.870, 8.870 Å; angles 60.00, 60.00, 60.00 degrees
Atoms (fractional coordinates):
Nd  0.250  0.250  0.250
Nd  0.750  0.750  0.750
As  0.239  0.239  0.761
As  0.239  0.761  0.239
As  0.239  0.761  0.761
As  0.761  0.239  0.239
As  0.761  0.239  0.761
As  0.761  0.761  0.239
Pd  0.115  0.115  0.115
Pd  0.115  0.115  0.654
Pd  0.115  0.654  0.115
Pd  0.151  0.500  0.500
Pd  0.151  0.500  0.849
Pd  0.151  0.849  0.500
Pd  0.346  0.885  0.885
Pd  0.500  0.151  0.500
Pd  0.500  0.151  0.849
Pd  0.500  0.500  0.151
Pd  0.500  0.500  0.500
Pd  0.500  0.500  0.849
Pd  0.500  0.849  0.151
Pd  0.500  0.849  0.500
Pd  0.654  0.115  0.115
Pd  0.849  0.151  0.500
Pd  0.849  0.500  0.151
Pd  0.849  0.500  0.500
Pd  0.885  0.346  0.885
Pd  0.885  0.885  0.346
Pd  0.885  0.885  0.885

The 6 most intense peaks (5 to 70 degrees two-theta), low angle first:
- 2θ = 35.04°, I 22
- 2θ = 37.24°, I 100
- 2θ = 40.69°, I 50
- 2θ = 42.64°, I 31
- 2θ = 48.11°, I 29
- 2θ = 62.86°, I 25

3.
SrAcTe2: theoretical powder diffractogram (CuKα), based on the GGA-PBE geometry in Alexandria.
Intensities are scaled so that the largest is 100.

Cell lengths 6.689, 6.689, 13.382 Å; angles 90.00, 90.00, 90.00 degrees
Atoms (fractional coordinates):
Sr  0.000  0.250  0.375
Sr  0.000  0.750  0.625
Sr  0.500  0.250  0.125
Sr  0.500  0.750  0.875
Ac  0.000  0.250  0.875
Ac  0.000  0.750  0.125
Ac  0.500  0.250  0.625
Ac  0.500  0.750  0.375
Te  0.000  0.250  0.127
Te  0.000  0.250  0.623
Te  0.000  0.750  0.377
Te  0.000  0.750  0.873
Te  0.500  0.250  0.373
Te  0.500  0.250  0.877
Te  0.500  0.750  0.123
Te  0.500  0.750  0.627

The 6 most intense peaks (5 to 70 degrees two-theta), low angle first:
- 2θ = 26.65°, I 100
- 2θ = 38.05°, I 78
- 2θ = 47.06°, I 29
- 2θ = 54.90°, I 14
- 2θ = 62.04°, I 38
- 2θ = 68.74°, I 28

4.
Y5PaS6: theoretical powder diffractogram (CuKα), based on the GGA-PBE geometry in Alexandria.
Intensities are scaled so that the largest is 100.

Cell lengths 6.780, 6.780, 6.779 Å; angles 99.64, 99.64, 120.02 degrees
Atoms (fractional coordinates):
Y  0.000  0.000  0.000
Y  0.166  0.834  0.500
Y  0.329  0.671  0.000
Y  0.671  0.329  0.000
Y  0.834  0.166  0.500
Pa  0.500  0.500  0.500
S  0.085  0.417  0.252
S  0.253  0.253  0.753
S  0.417  0.085  0.252
S  0.583  0.915  0.748
S  0.747  0.747  0.247
S  0.915  0.583  0.748

The 6 most intense peaks (5 to 70 degrees two-theta), low angle first:
- 2θ = 27.92°, I 57
- 2θ = 32.35°, I 100
- 2θ = 46.41°, I 70
- 2θ = 55.01°, I 19
- 2θ = 57.71°, I 24
- 2θ = 67.73°, I 11

5.
Tm2Mg6Zr: theoretical powder diffractogram (CuKα), based on the GGA-PBE geometry in Alexandria.
Intensities are scaled so that the largest is 100.

Cell lengths 8.875, 8.875, 3.207 Å; angles 90.00, 90.00, 120.00 degrees
Atoms (fractional coordinates):
Tm  0.333  0.667  0.000
Tm  0.667  0.333  0.000
Mg  0.000  0.327  0.500
Mg  0.000  0.673  0.500
Mg  0.327  0.000  0.500
Mg  0.327  0.327  0.500
Mg  0.673  0.000  0.500
Mg  0.673  0.673  0.500
Zr  0.000  0.000  0.000

The 6 most intense peaks (5 to 70 degrees two-theta), low angle first:
- 2θ = 20.01°, I 94
- 2θ = 34.50°, I 100
- 2θ = 35.02°, I 64
- 2θ = 49.98°, I 35
- 2θ = 62.49°, I 35
- 2θ = 69.10°, I 17

6.
NiMoPt2: theoretical powder diffractogram (CuKα), based on the GGA-PBE geometry in Alexandria.
Intensities are scaled so that the largest is 100.

Cell lengths 4.471, 5.412, 4.771 Å; angles 90.00, 90.00, 90.00 degrees
Atoms (fractional coordinates):
Ni  0.250  0.250  0.157
Ni  0.750  0.750  0.843
Mo  0.250  0.750  0.156
Mo  0.750  0.250  0.844
Pt  0.250  0.001  0.675
Pt  0.250  0.499  0.675
Pt  0.750  0.501  0.325
Pt  0.750  0.999  0.325

The 6 most intense peaks (5 to 70 degrees two-theta), low angle first:
- 2θ = 27.34°, I 31
- 2θ = 38.24°, I 22
- 2θ = 40.34°, I 40
- 2θ = 42.97°, I 48
- 2θ = 43.45°, I 100
- 2θ = 68.43°, I 16

7.
KNa2Se2: theoretical powder diffractogram (CuKα), based on the GGA-PBE geometry in Alexandria.
Intensities are scaled so that the largest is 100.

Cell lengths 4.925, 5.092, 11.811 Å; angles 90.00, 97.63, 90.00 degrees
Atoms (fractional coordinates):
K  0.187  0.250  0.268
K  0.813  0.750  0.732
Na  0.248  0.750  0.500
Na  0.362  0.250  0.877
Na  0.638  0.750  0.123
Na  0.752  0.250  0.500
Se  0.090  0.750  0.997
Se  0.294  0.250  0.634
Se  0.706  0.750  0.366
Se  0.910  0.250  0.003

The 6 most intense peaks (5 to 70 degrees two-theta), low angle first:
- 2θ = 20.62°, I 65
- 2θ = 22.79°, I 70
- 2θ = 25.69°, I 82
- 2θ = 28.28°, I 65
- 2θ = 30.85°, I 67
- 2θ = 35.25°, I 100

8.
Pa5Bi2C: theoretical powder diffractogram (CuKα), based on the GGA-PBE geometry in Alexandria.
Intensities are scaled so that the largest is 100.

Cell lengths 9.065, 9.065, 12.881 Å; angles 90.00, 90.00, 154.52 degrees
Atoms (fractional coordinates):
Pa  0.110  0.890  0.632
Pa  0.110  0.890  0.868
Pa  0.235  0.765  0.250
Pa  0.296  0.704  0.533
Pa  0.296  0.704  0.967
Pa  0.704  0.296  0.033
Pa  0.704  0.296  0.467
Pa  0.765  0.235  0.750
Pa  0.890  0.110  0.132
Pa  0.890  0.110  0.368
Bi  0.073  0.927  0.115
Bi  0.073  0.927  0.385
Bi  0.927  0.073  0.615
Bi  0.927  0.073  0.885
C  0.209  0.791  0.750
C  0.791  0.209  0.250

The 6 most intense peaks (5 to 70 degrees two-theta), low angle first:
- 2θ = 22.81°, I 94
- 2θ = 29.52°, I 88
- 2θ = 30.35°, I 76
- 2θ = 33.84°, I 100
- 2θ = 34.46°, I 65
- 2θ = 36.18°, I 92

9.
LaHoIn2Au4: theoretical powder diffractogram (CuKα), based on the GGA-PBE geometry in Alexandria.
Intensities are scaled so that the largest is 100.

Cell lengths 8.828, 8.828, 8.828 Å; angles 32.84, 32.84, 32.84 degrees
Atoms (fractional coordinates):
La  0.000  0.000  0.000
Ho  0.500  0.500  0.500
In  0.250  0.250  0.250
In  0.750  0.750  0.750
Au  0.131  0.131  0.131
Au  0.383  0.383  0.383
Au  0.617  0.617  0.617
Au  0.869  0.869  0.869

The 6 most intense peaks (5 to 70 degrees two-theta), low angle first:
- 2θ = 35.41°, I 97
- 2θ = 35.99°, I 100
- 2θ = 51.38°, I 34
- 2θ = 63.20°, I 14
- 2θ = 64.32°, I 34
- 2θ = 64.70°, I 18

10.
PmP2Pt7Pb2: theoretical powder diffractogram (CuKα), based on the GGA-PBE geometry in Alexandria.
Intensities are scaled so that the largest is 100.

Cell lengths 4.012, 4.012, 15.451 Å; angles 97.42, 97.42, 89.96 degrees
Atoms (fractional coordinates):
Pm  0.000  0.000  0.000
P  0.384  0.384  0.767
P  0.616  0.616  0.233
Pt  0.074  0.574  0.149
Pt  0.309  0.309  0.617
Pt  0.426  0.926  0.851
Pt  0.500  0.500  0.000
Pt  0.574  0.074  0.149
Pt  0.691  0.691  0.383
Pt  0.926  0.426  0.851
Pb  0.211  0.211  0.423
Pb  0.789  0.789  0.577

The 6 most intense peaks (5 to 70 degrees two-theta), low angle first:
- 2θ = 23.42°, I 29
- 2θ = 32.10°, I 53
- 2θ = 33.73°, I 49
- 2θ = 36.30°, I 100
- 2θ = 43.65°, I 43
- 2θ = 45.20°, I 70

11.
LiLa2Ga4Au3: theoretical powder diffractogram (CuKα), based on the GGA-PBE geometry in Alexandria.
Intensities are scaled so that the largest is 100.

Cell lengths 4.451, 4.451, 10.665 Å; angles 90.00, 90.00, 90.00 degrees
Atoms (fractional coordinates):
Li  0.000  0.000  0.000
La  0.000  0.500  0.749
La  0.500  0.000  0.251
Ga  0.000  0.000  0.500
Ga  0.000  0.500  0.129
Ga  0.500  0.000  0.871
Ga  0.500  0.500  0.500
Au  0.000  0.500  0.367
Au  0.500  0.000  0.633
Au  0.500  0.500  0.000

The 6 most intense peaks (5 to 70 degrees two-theta), low angle first:
- 2θ = 26.08°, I 39
- 2θ = 32.23°, I 97
- 2θ = 33.05°, I 100
- 2θ = 40.54°, I 87
- 2θ = 47.25°, I 47
- 2θ = 52.71°, I 48

12.
Ti8Cu3S16: theoretical powder diffractogram (CuKα), based on the GGA-PBE geometry in Alexandria.
Intensities are scaled so that the largest is 100.

Cell lengths 9.022, 9.022, 5.901 Å; angles 90.13, 90.13, 98.35 degrees
Atoms (fractional coordinates):
Ti  0.000  0.500  0.500
Ti  0.127  0.377  0.000
Ti  0.246  0.246  0.495
Ti  0.377  0.127  0.000
Ti  0.500  0.000  0.500
Ti  0.623  0.873  0.000
Ti  0.754  0.754  0.505
Ti  0.873  0.623  0.000
Cu  0.135  0.865  0.000
Cu  0.500  0.500  0.500
Cu  0.865  0.135  0.000
S  0.000  0.252  0.332
S  0.000  0.748  0.668
S  0.124  0.622  0.169
S  0.125  0.125  0.832
S  0.247  0.496  0.666
S  0.252  0.000  0.332
S  0.373  0.373  0.166
S  0.378  0.876  0.831
S  0.496  0.247  0.666
S  0.504  0.753  0.334
S  0.622  0.124  0.169
S  0.627  0.627  0.834
S  0.748  0.000  0.668
S  0.753  0.504  0.334
S  0.875  0.875  0.168
S  0.876  0.378  0.831

The 6 most intense peaks (5 to 70 degrees two-theta), low angle first:
- 2θ = 18.02°, I 35
- 2θ = 30.26°, I 32
- 2θ = 33.94°, I 100
- 2θ = 43.31°, I 79
- 2θ = 43.41°, I 78
- 2θ = 53.76°, I 66

13.
La6InSe5: theoretical powder diffractogram (CuKα), based on the GGA-PBE geometry in Alexandria.
Intensities are scaled so that the largest is 100.

Cell lengths 7.580, 7.580, 7.572 Å; angles 99.58, 99.58, 119.89 degrees
Atoms (fractional coordinates):
La  0.074  0.415  0.745
La  0.243  0.243  0.253
La  0.415  0.074  0.745
La  0.585  0.926  0.255
La  0.757  0.757  0.747
La  0.926  0.585  0.255
In  0.500  0.500  0.000
Se  0.000  0.000  0.500
Se  0.167  0.833  0.000
Se  0.336  0.664  0.500
Se  0.664  0.336  0.500
Se  0.833  0.167  0.000

The 6 most intense peaks (5 to 70 degrees two-theta), low angle first:
- 2θ = 28.85°, I 100
- 2θ = 41.25°, I 75
- 2θ = 51.15°, I 20
- 2θ = 59.76°, I 12
- 2θ = 67.64°, I 17
- 2θ = 67.75°, I 17